This entry pairs a crystal structure of Li3VPCO7 with its calculated powder diffraction line list. Radiation: CuKα. Structure: a crystal structure in Alexandria, relaxed with GGA+U.
Intensities are scaled so that the largest is 100.

Structural model:
```
data_Li3VPCO7
_cell_length_a 5.218
_cell_length_b 6.716
_cell_length_c 8.370
_cell_angle_alpha 90.00
_cell_angle_beta 92.56
_cell_angle_gamma 90.00
_space_group_name_H-M_alt 'P 1 21 1'
_space_group_IT_number 4
loop_
_space_group_symop_operation_xyz
'x,y,z'
'-x,y+1/2,-z'
loop_
_atom_site_label
_atom_site_type_symbol
_atom_site_fract_x
_atom_site_fract_y
_atom_site_fract_z
_atom_site_occupancy
Li1 Li 0.052 0.000 0.005 1
Li2 Li 0.411 0.721 0.841 1
Li3 Li 0.424 0.824 0.503 1
V1 V 0.071 0.235 0.733 1
P1 P 0.041 0.237 0.323 1
C1 C 0.467 0.727 0.149 1
O1 O 0.071 0.742 0.509 1
O2 O 0.073 0.553 0.773 1
O3 O 0.076 0.917 0.775 1
O4 O 0.232 0.738 0.094 1
O5 O 0.337 0.234 0.331 1
O6 O 0.347 0.214 0.951 1
O7 O 0.475 0.233 0.699 1
```

Principal peaks in the range 2θ = 15–90°, sorted by position:
d [Å], I (rel.), index
5.218, 83, 1 0 0
4.515, 15, 1 0 -1
4.181, 48, 0 0 2
3.549, 23, 0 1 2
3.358, 100, 0 2 0
3.335, 18, 1 0 -2
2.606, 17, 2 0 0
2.521, 13, 2 0 -1
2.271, 19, 1 1 3
2.142, 14, 2 1 -2